For Na3MoO6, the PBE+U geometry in Alexandria gives the computed powder diffraction line list in this record (Cu Kα (weighted mean of Kα1 and Kα2)).
Kinematic intensities with the Lorentz-polarization factor, no thermal factor.

Structural model:
a = 5.8221 Å, b = 5.8221 Å, c = 9.8886 Å
α = 90.00°, β = 90.00°, γ = 120.00°
Space group P6_322 (No. 182)
Asymmetric unit:
Na 0.0000 0.0000 0.0000 x2
Na 0.3333 0.6667 0.0788 x4
Mo 0.3333 0.6667 0.7500 x2
O 0.0913 0.3753 0.6378 x12

Main lines, by angle (2θ = 10–90°):
(hkl)  2θ (°)  I (rel.)
1 0 0  17.59  23
0 0 2  17.94  11
1 0 1  19.76  100
1 0 2  25.23  27
1 1 0  30.71  38
1 0 3  32.45  48
2 0 3  45.28  33
1 1 4  48.30  22
3 0 0  54.61  17
2 1 3  55.72  26